[1]
This entry pairs a crystal structure of TmZr4Os5 with its computed powder diffractogram. Radiation: Cu Kα, 1.54184 Å. Structure: a PBE-relaxed structure.
Lines closer than 0.1° are merged.

Structural model:
```
data_TmZr4Os5
_cell_length_a 3.292
_cell_length_b 3.292
_cell_length_c 16.568
_cell_angle_alpha 90.00
_cell_angle_beta 90.00
_cell_angle_gamma 90.00
_symmetry_space_group_name_H-M 'P 4/m m m'
_symmetry_Int_Tables_number 123
_symmetry_space_group_name_Hall '-P 4 2'
loop_
_atom_site_label
_atom_site_fract_x
_atom_site_fract_y
_atom_site_fract_z
Tm1 0.000 0.000 0.000
Zr1 0.000 0.000 0.201
Zr2 0.000 0.000 0.400
Os1 0.500 0.500 0.108
Os2 0.500 0.500 0.303
Os3 0.500 0.500 0.500
```

Principal peaks in the range 10° ≤ 2θ ≤ 90°, sorted by position:
- (0 0 5), 26.91 deg, I = 4
- (1 0 0), 27.09 deg, I = 9
- (1 0 5), 38.55 deg, I = 100
- (1 1 0), 38.68 deg, I = 51
- (0 0 10), 55.46 deg, I = 8
- (2 0 0), 55.86 deg, I = 17
- (1 1 10), 69.66 deg, I = 17
- (2 1 5), 69.92 deg, I = 35
- (2 0 10), 82.63 deg, I = 10
- (2 2 0), 82.97 deg, I = 6

[2]
This entry pairs a crystal structure of NaTbCdSe3 with its computed powder diffractogram. Radiation: Cu Kα, 1.54184 Å. Structure: a PBE-relaxed structure.
Lines closer than 0.1° are merged.

Structural model:
```
data_NaTbCdSe3
_cell_length_a 17.647
_cell_length_b 4.134
_cell_length_c 9.096
_cell_angle_alpha 90.00
_cell_angle_beta 105.45
_cell_angle_gamma 90.00
_symmetry_space_group_name_H-M 'C 1 2/m 1'
_symmetry_Int_Tables_number 12
_symmetry_space_group_name_Hall '-C 2y'
loop_
_atom_site_label
_atom_site_fract_x
_atom_site_fract_y
_atom_site_fract_z
Na1 0.131 0.000 0.073
Tb1 0.177 0.000 0.600
Cd1 0.014 0.500 0.720
Se1 0.000 0.000 0.500
Se2 0.000 0.500 0.000
Se3 0.161 0.500 0.369
Se4 0.175 0.500 0.815
```

Principal peaks in the range 10° ≤ 2θ ≤ 90°, sorted by position:
- (0 0 1), 10.09 deg, I = 68
- (2 0 1), 16.34 deg, I = 24
- (1 1 -2), 29.19 deg, I = 100
- (6 0 0), 31.56 deg, I = 52
- (1 1 -3), 36.88 deg, I = 27
- (2 0 -4), 39.63 deg, I = 22
- (5 1 2), 43.66 deg, I = 31
- (0 2 0), 43.79 deg, I = 25
- (7 1 -3), 47.22 deg, I = 27
- (6 2 0), 54.98 deg, I = 23